This entry pairs a crystal structure of Li12Sn5Pb2 with its theoretical powder XRD pattern. Radiation: Cu Kα. Structure: a structure optimized by DFT (PBE).
Neutral-atom scattering factors, no anomalous dispersion.

Crystal structure
```
Li12Sn5Pb2
1.0
7.544 -3.009 0.000
7.544 3.009 0.000
-2.990 0.000 9.030
Li Sn Pb
12 5 2
Cartesian
0.007 0.000 2.369 Li
2.273 1.482 6.968 Li
5.056 1.595 2.231 Li
7.042 1.595 6.798 Li
4.610 0.000 5.289 Li
9.825 1.482 2.061 Li
2.273 -1.482 6.968 Li
7.488 0.000 3.741 Li
5.056 -1.595 2.231 Li
7.042 -1.595 6.798 Li
9.825 -1.482 2.061 Li
12.091 0.000 6.660 Li
-1.495 0.000 4.515 Sn
1.737 0.000 4.518 Sn
4.014 0.000 0.119 Sn
8.084 0.000 8.910 Sn
10.361 0.000 4.511 Sn
7.544 1.489 0.000 Pb
7.544 -1.489 0.000 Pb
```

Largest 8 diffraction maxima, by intensity, 2θ = 10–90°:
| 2θ (°) | I/Imax |
| --- | --- |
| 19.66 | 100 |
| 24.87 | 48 |
| 26.46 | 44 |
| 32.27 | 38 |
| 39.95 | 35 |
| 35.87 | 32 |
| 36.61 | 21 |
| 31.33 | 20 |

=====

This entry pairs a crystal structure of RbSmMn2Cl8 with its theoretical powder XRD pattern. Radiation: Cu Kα. Structure: a structure optimized by DFT (PBE).
Neutral-atom scattering factors, no anomalous dispersion.

Crystal structure
```
RbSmMn2Cl8
1.0
3.248 1.875 10.476
-3.248 1.875 10.476
0.000 -3.751 10.476
Rb Sm Mn Cl
1 1 2 8
Cartesian
0.000 0.000 0.000 Rb
0.000 0.000 15.714 Sm
0.000 0.000 7.792 Mn
0.000 0.000 23.635 Mn
-1.003 -1.846 13.965 Cl
-1.097 -1.792 17.462 Cl
0.000 0.000 10.061 Cl
-1.097 1.792 13.965 Cl
-1.003 1.846 17.462 Cl
0.000 0.000 21.366 Cl
2.100 0.054 13.965 Cl
2.100 -0.054 17.462 Cl
```

Largest 8 diffraction maxima, by intensity, 2θ = 10–90°:
| 2θ (°) | I/Imax |
| --- | --- |
| 19.40 | 100 |
| 27.46 | 53 |
| 44.43 | 41 |
| 32.43 | 34 |
| 48.54 | 30 |
| 27.70 | 29 |
| 33.85 | 27 |
| 44.12 | 24 |

=====

This entry pairs a crystal structure of Pm3Ge6IrPd2 with its theoretical powder XRD pattern. Radiation: Cu Kα. Structure: a structure optimized by DFT (PBE).
Neutral-atom scattering factors, no anomalous dispersion.

Crystal structure
```
Pm3Ge6IrPd2
1.0
5.972 0.000 0.000
-2.986 5.172 0.000
0.000 0.000 8.064
Pm Ge Ir Pd
3 6 1 2
Cartesian
0.000 0.000 0.000 Pm
0.000 3.448 5.004 Pm
2.986 1.724 3.059 Pm
0.000 1.926 2.306 Ge
-1.318 4.209 2.306 Ge
1.668 0.963 5.757 Ge
1.318 4.209 2.306 Ge
4.304 0.963 5.757 Ge
2.986 3.246 5.757 Ge
0.000 0.000 4.032 Ir
0.000 3.448 0.146 Pd
2.986 1.724 7.917 Pd
```

Largest 8 diffraction maxima, by intensity, 2θ = 10–90°:
| 2θ (°) | I/Imax |
| --- | --- |
| 29.92 | 100 |
| 37.48 | 99 |
| 41.49 | 61 |
| 36.49 | 60 |
| 28.06 | 43 |
| 62.18 | 36 |
| 58.20 | 31 |
| 37.72 | 26 |

=====

This entry pairs a crystal structure of Ca3Ta3CrN8 with its theoretical powder XRD pattern. Radiation: Cu Kα. Structure: a structure optimized by DFT (PBE).
Neutral-atom scattering factors, no anomalous dispersion.

Crystal structure
```
Ca3Ta3CrN8
1.0
3.124 1.804 5.589
-3.124 1.804 5.589
0.000 -3.607 5.589
Ca Ta Cr N
3 3 1 8
Cartesian
-1.562 -0.902 5.589 Ca
-1.562 0.902 11.179 Ca
0.000 1.804 5.589 Ca
-3.124 0.000 8.384 Ta
-1.562 0.902 2.795 Ta
1.562 0.902 2.795 Ta
0.000 0.000 8.384 Cr
-1.566 -0.904 9.486 N
0.000 0.000 3.994 N
0.000 -1.809 7.282 N
-1.566 0.904 7.282 N
1.566 -0.904 9.486 N
0.000 1.809 9.486 N
0.000 0.000 12.774 N
1.566 0.904 7.282 N
```

Largest 8 diffraction maxima, by intensity, 2θ = 10–90°:
| 2θ (°) | I/Imax |
| --- | --- |
| 15.86 | 100 |
| 39.65 | 83 |
| 34.85 | 67 |
| 33.55 | 41 |
| 32.03 | 30 |
| 55.46 | 28 |
| 59.15 | 25 |
| 19.53 | 21 |